Entry 1:
# NaHg2Pd6
Computed X-ray diffraction stick pattern, copper Kα. Input: a structure optimized by DFT (PBE).

Peak list (10 most intense, 2θ = 10–90°, by angle)
3.980 Å, 22.34°, I = 11
3.596 Å, 24.76°, I = 18
2.298 Å, 39.20°, I = 99
2.288 Å, 39.39°, I = 100
1.621 Å, 56.78°, I = 34
1.327 Å, 71.05°, I = 17
1.325 Å, 71.17°, I = 35
1.319 Å, 71.54°, I = 17
1.149 Å, 84.28°, I = 11
1.144 Å, 84.75°, I = 11

Structure:
a b c (Å): 4.596 4.596 8.387
angles (deg): 90.00 90.00 120.00
Positions (direct):
1 Na 0.000 0.000 0.000
2 Hg 0.333 0.667 0.226
3 Hg 0.667 0.333 0.774
4 Pd 0.000 0.000 0.338
5 Pd 0.000 0.000 0.662
6 Pd 0.333 0.667 0.555
7 Pd 0.333 0.667 0.885
8 Pd 0.667 0.333 0.115
9 Pd 0.667 0.333 0.445

---

Entry 2:
# TaSbS4
Computed X-ray diffraction stick pattern, copper Kα. Input: a structure optimized by DFT (PBE).

Peak list (10 most intense, 2θ = 10–90°, by angle)
6.712 Å, 13.19°, I = 100
3.233 Å, 27.59°, I = 12
3.139 Å, 28.43°, I = 30
2.725 Å, 32.87°, I = 18
2.696 Å, 33.23°, I = 36
2.479 Å, 36.24°, I = 9
2.142 Å, 42.19°, I = 20
1.961 Å, 46.29°, I = 12
1.875 Å, 48.56°, I = 12
1.579 Å, 58.47°, I = 9

Structure:
a b c (Å): 6.576 3.621 7.016
angles (deg): 90.00 106.93 90.00
Positions (direct):
1 Ta 0.000 0.000 0.000
2 Sb 0.500 0.500 0.000
3 S 0.219 0.500 0.209
4 S 0.233 0.000 0.785
5 S 0.767 0.000 0.215
6 S 0.781 0.500 0.791

---

Entry 3:
# SrMgIN2
Computed X-ray diffraction stick pattern, copper Kα. Input: a structure optimized by DFT (PBE).

Peak list (10 most intense, 2θ = 10–90°, by angle)
5.496 Å, 16.13°, I = 74
3.157 Å, 28.26°, I = 70
2.748 Å, 32.58°, I = 39
2.738 Å, 32.71°, I = 100
2.233 Å, 40.40°, I = 42
2.071 Å, 43.70°, I = 69
1.733 Å, 52.83°, I = 37
1.585 Å, 58.22°, I = 18
1.368 Å, 68.59°, I = 38
1.256 Å, 75.73°, I = 18

Structure:
a b c (Å): 4.465 4.465 5.496
angles (deg): 90.00 90.00 90.00
Positions (direct):
1 Sr 0.000 0.000 0.000
2 Mg 0.500 0.500 0.500
3 I 0.500 0.500 0.000
4 N 0.000 0.500 0.500
5 N 0.500 0.000 0.500

---

Entry 4:
# SmTm4Th6
Computed X-ray diffraction stick pattern, copper Kα. Input: a structure optimized by DFT (PBE).

Peak list (10 most intense, 2θ = 10–90°, by angle)
3.196 Å, 27.92°, I = 64
3.164 Å, 28.21°, I = 49
3.043 Å, 29.35°, I = 30
2.990 Å, 29.88°, I = 92
2.797 Å, 31.99°, I = 100
2.601 Å, 34.48°, I = 54
2.517 Å, 35.68°, I = 70
2.238 Å, 40.30°, I = 54
1.827 Å, 49.93°, I = 28
1.530 Å, 60.52°, I = 33

Structure:
a b c (Å): 10.168 10.168 10.168
angles (deg): 143.73 143.73 52.24
Positions (direct):
1 Sm 0.000 0.000 0.000
2 Tm 0.187 0.187 0.629
3 Tm 0.442 0.813 0.000
4 Tm 0.558 0.558 0.371
5 Tm 0.813 0.442 0.000
6 Th 0.000 0.500 0.500
7 Th 0.001 0.001 0.621
8 Th 0.380 0.380 0.379
9 Th 0.500 0.000 0.500
10 Th 0.620 0.999 0.000
11 Th 0.999 0.620 0.000

---

Entry 5:
# Al2TlTe4
Computed X-ray diffraction stick pattern, copper Kα. Input: a structure optimized by DFT (PBE).

Peak list (10 most intense, 2θ = 10–90°, by angle)
5.879 Å, 15.07°, I = 53
4.195 Å, 21.18°, I = 46
3.325 Å, 26.81°, I = 92
3.302 Å, 27.00°, I = 91
2.995 Å, 29.83°, I = 41
2.936 Å, 30.45°, I = 33
2.702 Å, 33.16°, I = 29
2.684 Å, 33.39°, I = 28
2.639 Å, 33.97°, I = 100
1.730 Å, 52.92°, I = 26

Structure:
a b c (Å): 6.926 6.926 11.975
angles (deg): 90.00 90.00 121.91
Positions (direct):
1 Al 0.248 0.752 0.000
2 Al 0.248 0.752 0.500
3 Al 0.752 0.248 0.000
4 Al 0.752 0.248 0.500
5 Tl 0.500 0.500 0.250
6 Tl 0.500 0.500 0.750
7 Te 0.000 0.500 0.329
8 Te 0.000 0.500 0.671
9 Te 0.173 0.333 0.000
10 Te 0.333 0.173 0.500
11 Te 0.500 0.000 0.171
12 Te 0.500 0.000 0.829
13 Te 0.667 0.827 0.500
14 Te 0.827 0.667 0.000

---

Entry 6:
# Ba3Ta4
Computed X-ray diffraction stick pattern, copper Kα. Input: a structure optimized by DFT (PBE).

Peak list (10 most intense, 2θ = 10–90°, by angle)
8.171 Å, 10.83°, I = 52
3.268 Å, 27.29°, I = 25
2.874 Å, 31.12°, I = 57
2.577 Å, 34.82°, I = 100
2.024 Å, 44.77°, I = 27
1.823 Å, 50.02°, I = 22
1.556 Å, 59.41°, I = 19
1.540 Å, 60.09°, I = 18
1.488 Å, 62.42°, I = 14
1.184 Å, 81.29°, I = 16

Structure:
a b c (Å): 3.647 3.647 32.682
angles (deg): 90.00 90.00 90.00
Positions (direct):
1 Ba 0.000 0.000 0.000
2 Ba 0.000 0.000 0.312
3 Ba 0.000 0.000 0.688
4 Ba 0.500 0.500 0.188
5 Ba 0.500 0.500 0.500
6 Ba 0.500 0.500 0.812
7 Ta 0.000 0.000 0.113
8 Ta 0.000 0.000 0.418
9 Ta 0.000 0.000 0.582
10 Ta 0.000 0.000 0.887
11 Ta 0.500 0.500 0.082
12 Ta 0.500 0.500 0.387
13 Ta 0.500 0.500 0.613
14 Ta 0.500 0.500 0.918